[1]
LiMoP2WO11: computed powder diffraction line list (CuKα), based on a crystal structure in Alexandria, relaxed with PBE+U.
Kinematic intensities with the Lorentz-polarization factor, no thermal factor.

Most intense lines, 5 to 70 degrees two-theta, sorted by position:
2theta  d (Å)  I (rel.)
17.5  5.057  100
19.7  4.513  77
22.0  4.048  39
22.3  3.988  42
22.5  3.949  95
23.1  3.847  95
27.5  3.238  94
31.0  2.881  72
39.0  2.311  31
45.7  1.984  29

```
LiMoP2WO11
1.0
4.1448 -3.2379 0.0000
4.1448 3.2379 0.0000
-1.6921 0.0000 7.6942
Li Mo P W O
1 1 2 1 11
direct
0.0000 0.0000 0.0000
0.6417 0.6417 0.2095
0.2356 0.2356 0.3128
0.7391 0.7391 0.6529
0.3358 0.3358 0.7638
0.0257 0.6477 0.7484
0.1522 0.1522 0.8409
0.2266 0.2266 0.5082
0.3172 0.9498 0.2176
0.4148 0.4148 0.2955
0.4802 0.4802 0.9756
0.5595 0.5595 0.6670
0.6477 0.0257 0.7484
0.7588 0.7588 0.4639
0.8100 0.8100 0.1138
0.9498 0.3172 0.2176
```

---

[2]
Rb3LiZn2Mo4O16: computed powder diffraction line list (CuKα), based on a crystal structure in Alexandria, relaxed with PBE+U.
Kinematic intensities with the Lorentz-polarization factor, no thermal factor.

Most intense lines, 5 to 70 degrees two-theta, sorted by position:
2theta  d (Å)  I (rel.)
17.9  4.955  11
23.0  3.874  8
27.3  3.270  100
27.5  3.245  53
29.1  3.066  8
32.8  2.734  10
34.5  2.598  10
40.3  2.236  18
40.8  2.210  11
51.9  1.761  14

```
Rb3LiZn2Mo4O16
1.0
-6.1315 6.1315 6.0376
6.1315 -6.1315 6.0376
6.1315 6.1315 -6.0376
Rb Li Zn Mo O
6 2 4 8 32
direct
0.0000 0.0000 0.0000
0.2588 0.1250 0.6338
0.3750 0.7412 0.8662
0.4912 0.6250 0.3662
0.7500 0.2500 0.5000
0.8750 0.5088 0.1338
0.2500 0.7500 0.5000
0.5000 0.5000 0.0000
0.0012 0.6250 0.8762
0.3750 0.2512 0.3762
0.7488 0.1250 0.1238
0.8750 0.9988 0.6238
0.1242 0.3745 0.4604
0.1245 0.3742 0.9604
0.3362 0.8758 0.2503
0.4138 0.1642 0.0396
0.6255 0.0858 0.7497
0.6258 0.5862 0.7503
0.8358 0.8755 0.2497
0.9142 0.6638 0.5396
0.0550 0.1753 0.8186
0.0556 0.7384 0.4870
0.1224 0.3782 0.6272
0.1282 0.3724 0.1272
0.1937 0.2444 0.3916
0.1979 0.8063 0.0506
0.2452 0.0010 0.8728
0.2515 0.5686 0.5130
0.2616 0.7485 0.3172
0.3186 0.5015 0.0130
0.3567 0.2364 0.1814
0.3933 0.0747 0.3797
0.4314 0.9444 0.6828
0.4884 0.3056 0.9870
0.4985 0.5116 0.8172
0.5048 0.8776 0.2558
0.5521 0.1028 0.1084
0.5563 0.4479 0.5506
0.6218 0.2490 0.7442
0.6276 0.7548 0.7558
0.6944 0.6814 0.1828
0.6950 0.0136 0.6203
0.7510 0.4952 0.3728
0.7556 0.1472 0.9494
0.7636 0.9450 0.1203
0.8247 0.6433 0.8797
0.8528 0.8021 0.6084
0.8972 0.0056 0.4494
0.9253 0.3050 0.3186
0.9864 0.6067 0.6814
0.9944 0.4437 0.8916
0.9990 0.8718 0.2442
```

---

[3]
LiMoRh2O6: computed powder diffraction line list (CuKα), based on a crystal structure in Alexandria, relaxed with PBE+U.
Kinematic intensities with the Lorentz-polarization factor, no thermal factor.

Most intense lines, 5 to 70 degrees two-theta, sorted by position:
2theta  d (Å)  I (rel.)
16.6  5.342  26
18.1  4.892  62
24.7  3.607  22
29.9  2.990  100
33.6  2.671  39
44.1  2.053  43
48.2  1.889  28
51.9  1.762  14
57.7  1.597  30
67.3  1.391  41

```
LiMoRh2O6
1.0
5.3415 0.0000 0.0000
0.0000 5.3415 0.0000
0.0000 0.0000 4.8917
Li Mo Rh O
1 1 2 6
direct
0.0000 0.0000 0.0000
0.5000 0.5000 0.0134
0.0000 0.5000 0.3347
0.5000 0.0000 0.3347
0.0000 0.0000 0.5956
0.2562 0.2562 0.1736
0.2562 0.7438 0.1736
0.5000 0.5000 0.6589
0.7438 0.2562 0.1736
0.7438 0.7438 0.1736
```

---

[4]
LiScMo3O8: computed powder diffraction line list (CuKα), based on a crystal structure in Alexandria, relaxed with PBE+U.
Kinematic intensities with the Lorentz-polarization factor, no thermal factor.

Most intense lines, 5 to 70 degrees two-theta, sorted by position:
2theta  d (Å)  I (rel.)
18.5  4.807  100
24.9  3.580  87
33.4  2.682  70
34.5  2.603  37
38.4  2.342  93
48.7  1.868  25
51.0  1.790  87
59.7  1.549  38
63.1  1.474  20
68.2  1.375  19

```
LiScMo3O8
1.0
6.1937 0.0000 0.0000
-3.0968 5.3639 0.0000
0.0000 0.0000 4.8065
Li Sc Mo O
1 1 3 8
direct
0.0000 0.0000 0.0000
0.6667 0.3333 0.0754
0.1695 0.3390 0.5666
0.1695 0.8305 0.5666
0.6610 0.8305 0.5666
0.0000 0.0000 0.3579
0.9997 0.4998 0.3481
0.3157 0.1578 0.8111
0.3333 0.6667 0.7915
0.5002 0.0003 0.3481
0.5002 0.4998 0.3481
0.8422 0.1578 0.8111
0.8422 0.6843 0.8111
```

---

[5]
Sr3Li2MoO6: computed powder diffraction line list (CuKα), based on a crystal structure in Alexandria, relaxed with PBE+U.
Kinematic intensities with the Lorentz-polarization factor, no thermal factor.

Most intense lines, 5 to 70 degrees two-theta, sorted by position:
2theta  d (Å)  I (rel.)
14.0  6.322  60
17.6  5.041  44
22.6  3.941  24
30.7  2.910  100
33.5  2.678  66
33.9  2.644  21
38.5  2.341  33
42.2  2.141  35
46.1  1.971  50
56.4  1.632  30

```
Sr3Li2MoO6
1.0
5.8205 0.0000 0.0000
-2.9102 5.0407 0.0000
0.0000 0.0000 6.3220
Sr Li Mo O
3 2 1 6
direct
0.0000 0.0000 0.0000
0.3333 0.6667 0.6167
0.6667 0.3333 0.3833
0.3333 0.6667 0.1951
0.6667 0.3333 0.8049
0.0000 0.0000 0.5000
0.1651 0.3302 0.3062
0.1651 0.8349 0.3062
0.3302 0.1651 0.6938
0.6698 0.8349 0.3062
0.8349 0.1651 0.6938
0.8349 0.6698 0.6938
```

---

[6]
LiTaMoO6: computed powder diffraction line list (CuKα), based on a crystal structure in Alexandria, relaxed with PBE+U.
Kinematic intensities with the Lorentz-polarization factor, no thermal factor.

Most intense lines, 5 to 70 degrees two-theta, sorted by position:
2theta  d (Å)  I (rel.)
19.6  4.539  33
20.9  4.243  92
26.3  3.394  100
33.0  2.718  31
35.1  2.560  70
37.5  2.400  19
43.3  2.089  26
52.3  1.751  64
54.0  1.697  27
66.1  1.414  20

```
LiTaMoO6
1.0
4.7994 0.0000 0.0000
0.0000 4.7994 0.0000
0.0000 0.0000 9.0771
Li Ta Mo O
2 2 2 12
direct
0.0000 0.0000 0.0000
0.5000 0.5000 0.5000
0.0000 0.0000 0.6688
0.5000 0.5000 0.1688
0.0000 0.0000 0.3295
0.5000 0.5000 0.8295
0.1844 0.1844 0.4939
0.2057 0.2057 0.1830
0.2126 0.2126 0.8168
0.2874 0.7126 0.3168
0.2943 0.7057 0.6830
0.3156 0.6844 0.9939
0.6844 0.3156 0.9939
0.7057 0.2943 0.6830
0.7126 0.2874 0.3168
0.7874 0.7874 0.8168
0.7943 0.7943 0.1830
0.8156 0.8156 0.4939
```

---

[7]
Li2UMoO6: computed powder diffraction line list (CuKα), based on a crystal structure in Alexandria, relaxed with PBE+U.
Kinematic intensities with the Lorentz-polarization factor, no thermal factor.

Most intense lines, 5 to 70 degrees two-theta, sorted by position:
2theta  d (Å)  I (rel.)
20.3  4.383  13
22.9  3.891  100
31.2  2.865  15
31.6  2.835  28
33.5  2.672  20
33.8  2.654  9
41.2  2.191  11
46.7  1.944  12
50.8  1.797  11
51.3  1.781  14

```
Li2UMoO6
1.0
5.3085 0.0000 0.0000
2.6506 4.6391 0.0000
2.6457 -1.4944 4.8152
Li U Mo O
2 1 1 6
direct
0.0000 0.0000 0.0000
0.0119 0.4923 0.4947
0.5718 0.7140 0.1480
0.5736 0.2110 0.6472
0.0624 0.6003 0.8870
0.0795 0.8243 0.3791
0.4480 0.9556 0.8795
0.4603 0.1030 0.3817
0.7182 0.3277 0.8772
0.7254 0.4402 0.3838
```

---

[8]
Li2UMo2O10: computed powder diffraction line list (CuKα), based on a crystal structure in Alexandria, relaxed with PBE+U.
Kinematic intensities with the Lorentz-polarization factor, no thermal factor.

Most intense lines, 5 to 70 degrees two-theta, sorted by position:
2theta  d (Å)  I (rel.)
11.6  7.636  28
17.2  5.149  100
19.3  4.603  17
23.0  3.867  57
23.3  3.816  93
23.6  3.769  50
28.5  3.135  37
29.3  3.051  24
31.0  2.884  22
31.1  2.873  22

```
Li2UMo2O10
1.0
5.5784 0.0000 0.0000
-1.6620 5.7699 0.0000
-1.4110 -3.0827 7.6358
Li U Mo O
2 1 2 10
direct
0.0258 0.2828 0.0721
0.9742 0.7172 0.9279
0.5000 0.5000 0.5000
0.4189 0.1394 0.7976
0.5811 0.8606 0.2024
0.1928 0.4166 0.3362
0.2023 0.0772 0.9244
0.2726 0.6520 0.0595
0.3046 0.2830 0.6514
0.4495 0.8501 0.6668
0.5505 0.1499 0.3332
0.6954 0.7170 0.3486
0.7274 0.3480 0.9405
0.7977 0.9228 0.0756
0.8072 0.5834 0.6638
```